The following is a calculated PXRD pattern of Ti3Be8Tc. It was derived from a cell relaxed with PBE, using Cu Ka.

Principal peaks in the range 10° ≤ 2θ ≤ 80°, in order of falling intensity:
2θ/deg	intensity
24.33	1000
47.57	782
40.14	657
40.27	654
24.22	325
73.15	297

Crystal structure
abc: 7.7902 7.7902 7.7902
angles: 33.41 33.41 33.41
Sites, in units of the cell vectors:
Ti (0.0000, 0.0000, 0.0000)
Ti (0.1261, 0.1261, 0.1261)
Ti (0.5038, 0.5038, 0.5038)
Be (0.0566, 0.5648, 0.5648)
Be (0.0656, 0.0656, 0.5667)
Be (0.0656, 0.5667, 0.0656)
Be (0.3145, 0.3145, 0.3145)
Be (0.5648, 0.0566, 0.5648)
Be (0.5648, 0.5648, 0.0566)
Be (0.5667, 0.0656, 0.0656)
Be (0.8131, 0.8131, 0.8131)
Tc (0.6263, 0.6263, 0.6263)

=====

The following is a calculated PXRD pattern of Ti2Be2Tc. It was derived from a cell relaxed with PBE, using Cu Ka.

Principal peaks in the range 10° ≤ 2θ ≤ 80°, in order of falling intensity:
2θ/deg	intensity
39.91	1000
34.13	701
20.06	653
45.85	503
40.78	351
42.55	317

Crystal structure
abc: 6.2585 6.2585 3.2646
angles: 90.00 90.00 90.00
Sites, in units of the cell vectors:
Ti (0.1823, 0.3177, 0.0000)
Ti (0.3177, 0.8177, 0.0000)
Ti (0.6823, 0.1823, 0.0000)
Ti (0.8177, 0.6823, 0.0000)
Be (0.1169, 0.6169, 0.5000)
Be (0.3831, 0.1169, 0.5000)
Be (0.6169, 0.8831, 0.5000)
Be (0.8831, 0.3831, 0.5000)
Tc (0.0000, 0.0000, 0.5000)
Tc (0.5000, 0.5000, 0.5000)

=====

The following is a calculated PXRD pattern of TiBe9Tc2. It was derived from a cell relaxed with PBE, using Cu Ka.

Principal peaks in the range 10° ≤ 2θ ≤ 80°, in order of falling intensity:
2θ/deg	intensity
12.72	1000
40.26	828
41.43	643
23.57	531
49.34	508
24.43	341

Crystal structure
abc: 4.3591 4.3591 13.9155
angles: 90.00 90.00 120.00
Sites, in units of the cell vectors:
Ti (0.3333, 0.6667, 0.2500)
Ti (0.6667, 0.3333, 0.7500)
Be (0.0000, 0.0000, 0.0000)
Be (0.0000, 0.0000, 0.2500)
Be (0.0000, 0.0000, 0.5000)
Be (0.0000, 0.0000, 0.7500)
Be (0.1691, 0.3382, 0.6243)
Be (0.1691, 0.3382, 0.8757)
Be (0.1691, 0.8309, 0.6243)
Be (0.1691, 0.8309, 0.8757)
Be (0.3333, 0.6667, 0.7500)
Be (0.3382, 0.1691, 0.1243)
Be (0.3382, 0.1691, 0.3757)
Be (0.6618, 0.8309, 0.6243)
Be (0.6618, 0.8309, 0.8757)
Be (0.6667, 0.3333, 0.2500)
Be (0.8309, 0.1691, 0.1243)
Be (0.8309, 0.1691, 0.3757)
Be (0.8309, 0.6618, 0.1243)
Be (0.8309, 0.6618, 0.3757)
Tc (0.3333, 0.6667, 0.0340)
Tc (0.3333, 0.6667, 0.4660)
Tc (0.6667, 0.3333, 0.5340)
Tc (0.6667, 0.3333, 0.9660)